Calculated powder diffractogram of CaAl12Au4 for CuKα, from a cell relaxed with PBE.
Lines closer than 0.1° are merged.

Structure:
Unit cell a=7.758 b=7.758 c=7.758 alpha=109.47 beta=109.47 gamma=109.47
Element x y z (fractional)
1 Ca 0.000 0.000 0.000
2 Al 0.153 0.503 0.350
3 Al 0.153 0.803 0.650
4 Al 0.197 0.350 0.847
5 Al 0.350 0.153 0.503
6 Al 0.350 0.847 0.197
7 Al 0.497 0.650 0.847
8 Al 0.503 0.350 0.153
9 Al 0.650 0.153 0.803
10 Al 0.650 0.847 0.497
11 Al 0.803 0.650 0.153
12 Al 0.847 0.197 0.350
13 Al 0.847 0.497 0.650
14 Au 0.000 0.000 0.500
15 Au 0.000 0.500 0.000
16 Au 0.500 0.000 0.000
17 Au 0.500 0.500 0.500

Top 10 peaks for 2θ from 10° to 80°, most intense first:
two_theta, I_rel
28.17, 100
19.82, 96
45.27, 67
49.87, 57
34.69, 33
65.95, 23
40.27, 19
69.62, 17
62.17, 17
76.71, 14

Calculated powder diffractogram of Ho4AsPb2 for CuKα, from a cell relaxed with PBE.
Lines closer than 0.1° are merged.

Structure:
Unit cell a=6.631 b=6.551 c=9.765 alpha=90.00 beta=109.42 gamma=90.00
Element x y z (fractional)
1 Ho 0.160 0.250 0.074
2 Ho 0.255 0.003 0.757
3 Ho 0.255 0.497 0.757
4 Ho 0.301 0.750 0.360
5 Ho 0.699 0.250 0.640
6 Ho 0.745 0.503 0.243
7 Ho 0.745 0.997 0.243
8 Ho 0.840 0.750 0.926
9 As 0.485 0.250 0.344
10 As 0.515 0.750 0.656
11 Pb 0.132 0.250 0.456
12 Pb 0.343 0.750 0.047
13 Pb 0.657 0.250 0.953
14 Pb 0.868 0.750 0.544

Top 10 peaks for 2θ from 10° to 80°, most intense first:
two_theta, I_rel
33.58, 100
33.79, 96
31.71, 90
31.02, 88
36.65, 87
31.84, 85
30.85, 74
51.06, 47
28.55, 46
27.79, 42

Calculated powder diffractogram of Tb5Sm4Er4 for CuKα, from a cell relaxed with PBE.
Lines closer than 0.1° are merged.

Structure:
Unit cell a=9.435 b=9.435 c=9.435 alpha=94.07 beta=94.07 gamma=149.09
Element x y z (fractional)
1 Tb 0.000 0.000 0.000
2 Tb 0.309 0.539 0.848
3 Tb 0.461 0.309 0.770
4 Tb 0.539 0.691 0.230
5 Tb 0.691 0.461 0.152
6 Sm 0.077 0.383 0.460
7 Sm 0.383 0.923 0.306
8 Sm 0.617 0.077 0.694
9 Sm 0.923 0.617 0.540
10 Er 0.154 0.770 0.923
11 Er 0.230 0.154 0.384
12 Er 0.770 0.846 0.616
13 Er 0.846 0.230 0.077

Top 9 peaks for 2θ from 10° to 80°, most intense first:
two_theta, I_rel
30.73, 100
51.28, 36
35.59, 34
60.93, 29
35.71, 17
61.09, 14
64.01, 12
75.37, 4
75.65, 2

Calculated powder diffractogram of AcLa5Sm4 for CuKα, from a cell relaxed with PBE.
Lines closer than 0.1° are merged.

Structure:
Unit cell a=3.757 b=3.757 c=25.918 alpha=90.00 beta=90.00 gamma=90.00
Element x y z (fractional)
1 Ac 0.000 0.000 0.000
2 La 0.500 0.500 0.108
3 La 0.500 0.500 0.304
4 La 0.500 0.500 0.500
5 La 0.500 0.500 0.696
6 La 0.500 0.500 0.892
7 Sm 0.000 0.000 0.207
8 Sm 0.000 0.000 0.402
9 Sm 0.000 0.000 0.598
10 Sm 0.000 0.000 0.793

Top 10 peaks for 2θ from 10° to 80°, most intense first:
two_theta, I_rel
29.36, 100
33.73, 36
57.67, 30
49.10, 22
34.61, 15
48.45, 13
60.90, 12
58.82, 12
79.58, 10
78.58, 6

Calculated powder diffractogram of NaCeI4 for CuKα, from a cell relaxed with PBE.
Lines closer than 0.1° are merged.

Structure:
Unit cell a=7.502 b=4.651 c=8.043 alpha=90.00 beta=91.06 gamma=90.00
Element x y z (fractional)
1 Na 0.000 0.000 0.000
2 Ce 0.000 0.500 0.500
3 I 0.228 0.500 0.182
4 I 0.243 0.000 0.656
5 I 0.757 0.000 0.344
6 I 0.772 0.500 0.818

Top 10 peaks for 2θ from 10° to 80°, most intense first:
two_theta, I_rel
25.20, 100
24.96, 73
38.76, 61
11.80, 37
32.79, 35
42.38, 30
11.00, 22
46.60, 19
23.73, 19
32.34, 19

Calculated powder diffractogram of Cs3Ge4 for CuKα, from a cell relaxed with PBE.
Lines closer than 0.1° are merged.

Structure:
Unit cell a=11.105 b=11.105 c=11.105 alpha=158.54 beta=148.28 gamma=38.62
Element x y z (fractional)
1 Cs 0.000 0.000 0.000
2 Cs 0.185 0.685 0.500
3 Cs 0.815 0.315 0.500
4 Ge 0.374 0.874 0.500
5 Ge 0.440 0.440 0.000
6 Ge 0.560 0.560 0.000
7 Ge 0.626 0.126 0.500

Top 10 peaks for 2θ from 10° to 80°, most intense first:
two_theta, I_rel
27.45, 100
25.83, 85
29.43, 56
31.25, 38
37.07, 25
51.54, 25
68.72, 24
48.02, 24
54.39, 21
53.64, 20

Calculated powder diffractogram of CsKICl for CuKα, from a cell relaxed with PBE.
Lines closer than 0.1° are merged.

Structure:
Unit cell a=4.995 b=4.995 c=7.447 alpha=90.00 beta=90.00 gamma=90.00
Element x y z (fractional)
1 Cs 0.000 0.000 0.000
2 K 0.500 0.500 0.500
3 I 0.000 0.000 0.500
4 Cl 0.500 0.500 0.000

Top 10 peaks for 2θ from 10° to 80°, most intense first:
two_theta, I_rel
25.21, 100
35.01, 82
17.76, 62
23.90, 57
43.64, 43
35.96, 38
29.93, 36
64.03, 27
47.46, 21
55.82, 20

Calculated powder diffractogram of SrCaN2O for CuKα, from a cell relaxed with PBE.
Lines closer than 0.1° are merged.

Structure:
Unit cell a=4.561 b=4.561 c=4.392 alpha=90.00 beta=90.00 gamma=90.00
Element x y z (fractional)
1 Sr 0.000 0.000 0.000
2 Ca 0.500 0.500 0.500
3 N 0.000 0.500 0.500
4 N 0.500 0.000 0.500
5 O 0.500 0.500 0.000

Top 10 peaks for 2θ from 10° to 80°, most intense first:
two_theta, I_rel
28.21, 100
27.66, 58
39.51, 46
49.25, 42
34.50, 37
58.33, 26
50.26, 22
41.10, 20
57.11, 14
72.75, 13

Calculated powder diffractogram of ZrZn8Au2 for CuKα, from a cell relaxed with PBE.
Lines closer than 0.1° are merged.

Structure:
Unit cell a=4.492 b=7.024 c=7.030 alpha=63.13 beta=71.52 gamma=71.55
Element x y z (fractional)
1 Zr 0.000 0.000 0.000
2 Zn 0.133 0.187 0.544
3 Zn 0.135 0.543 0.186
4 Zn 0.280 0.720 0.719
5 Zn 0.341 0.159 0.161
6 Zn 0.659 0.841 0.839
7 Zn 0.720 0.280 0.281
8 Zn 0.865 0.457 0.814
9 Zn 0.867 0.813 0.456
10 Au 0.499 0.290 0.711
11 Au 0.501 0.710 0.289

Top 10 peaks for 2θ from 10° to 80°, most intense first:
two_theta, I_rel
39.92, 100
40.14, 82
40.01, 59
37.56, 43
29.11, 43
15.94, 32
56.15, 26
21.33, 22
72.74, 18
32.48, 17

Calculated powder diffractogram of Ca3Ag6Sn5 for CuKα, from a cell relaxed with PBE.
Lines closer than 0.1° are merged.

Structure:
Unit cell a=8.859 b=8.859 c=8.859 alpha=148.92 beta=109.83 gamma=78.72
Element x y z (fractional)
1 Ca 0.000 0.000 0.000
2 Ca 0.301 0.301 0.000
3 Ca 0.699 0.699 0.000
4 Ag 0.149 0.868 0.282
5 Ag 0.321 0.500 0.821
6 Ag 0.414 0.132 0.282
7 Ag 0.586 0.868 0.718
8 Ag 0.679 0.500 0.179
9 Ag 0.851 0.132 0.718
10 Sn 0.020 0.663 0.357
11 Sn 0.305 0.663 0.643
12 Sn 0.500 0.000 0.500
13 Sn 0.695 0.337 0.357
14 Sn 0.980 0.337 0.643

Top 10 peaks for 2θ from 10° to 80°, most intense first:
two_theta, I_rel
32.40, 100
42.02, 95
37.91, 91
35.04, 59
40.75, 44
17.41, 41
44.99, 36
39.47, 33
21.32, 33
31.48, 31

Calculated powder diffractogram of Rb2LiNCl6 for CuKα, from a cell relaxed with PBE.
Lines closer than 0.1° are merged.

Structure:
Unit cell a=6.816 b=6.816 c=6.816 alpha=116.42 beta=116.42 gamma=96.31
Element x y z (fractional)
1 Rb 0.250 0.750 0.500
2 Rb 0.750 0.250 0.500
3 Li 0.000 0.000 0.000
4 N 0.500 0.500 0.000
5 Cl 0.256 0.256 0.000
6 Cl 0.275 0.275 0.550
7 Cl 0.275 0.725 0.000
8 Cl 0.725 0.275 0.000
9 Cl 0.725 0.725 0.450
10 Cl 0.744 0.744 0.000

Top 10 peaks for 2θ from 10° to 80°, most intense first:
two_theta, I_rel
31.76, 100
35.35, 43
61.22, 23
54.15, 23
39.65, 20
26.31, 19
50.86, 13
66.35, 12
24.80, 11
67.02, 10

Copy entry 9 word for word.
Calculated powder diffractogram of ZrZn8Au2 for CuKα, from a cell relaxed with PBE.
Lines closer than 0.1° are merged.

Structure:
Unit cell a=4.492 b=7.024 c=7.030 alpha=63.13 beta=71.52 gamma=71.55
Element x y z (fractional)
1 Zr 0.000 0.000 0.000
2 Zn 0.133 0.187 0.544
3 Zn 0.135 0.543 0.186
4 Zn 0.280 0.720 0.719
5 Zn 0.341 0.159 0.161
6 Zn 0.659 0.841 0.839
7 Zn 0.720 0.280 0.281
8 Zn 0.865 0.457 0.814
9 Zn 0.867 0.813 0.456
10 Au 0.499 0.290 0.711
11 Au 0.501 0.710 0.289

Top 10 peaks for 2θ from 10° to 80°, most intense first:
two_theta, I_rel
39.92, 100
40.14, 82
40.01, 59
37.56, 43
29.11, 43
15.94, 32
56.15, 26
21.33, 22
72.74, 18
32.48, 17